No. 1
Starting from a DFT-relaxed cell (GGA-PBE, OQMD), the X-ray diffraction stick pattern of FeB4 was computed for a wavelength of 1.5418 Å.

Structural model:
```
15
Lattice="3.6876 0.0000 0.0000 -1.8438 3.1936 0.0000 0.0000 0.0000 8.8209" Properties=species:S:1:pos:R:3 pbc="T T T"
Fe 0.0000 0.0000 0.0000
Fe 1.8438 1.0645 3.1802
Fe 1.8438 1.0645 5.6407
B -0.9115 1.6028 1.4220
B -0.9115 1.6028 7.3989
B 0.0000 0.9999 4.4105
B -0.9778 2.6936 4.4105
B 0.0000 2.1291 2.9370
B 0.0000 2.1291 5.8839
B 0.9115 1.6028 1.4220
B 0.9115 1.6028 7.3989
B 0.0000 3.1816 1.4220
B 0.0000 3.1816 7.3989
B 1.8438 1.0645 0.0000
B 0.9778 2.6936 4.4105
```

Principal peaks in the range 2θ from 15° to 90°, low angle first:
d [Å]  I/Imax
3.194  56
3.003  100
2.940  22
2.587  53
2.163  35
1.844  41
1.815  59
1.571  32
1.562  59
1.196  11

=====

No. 2
Starting from a DFT-relaxed cell (GGA-PBE, OQMD), the X-ray diffraction stick pattern of PuSb was computed for a wavelength of 1.5418 Å.

Structural model:
```
2
Lattice="4.0250 0.0000 0.0000 0.0000 4.0250 0.0000 0.0000 0.0000 3.2339" Properties=species:S:1:pos:R:3 pbc="T T T"
Pu 0.0000 0.0000 0.0000
Sb 2.0125 2.0125 1.6169
```

Principal peaks in the range 2θ from 15° to 90°, low angle first:
d [Å]  I/Imax
4.025  16
2.846  69
2.521  100
2.013  26
1.573  48
1.423  9
1.406  17
1.273  12
1.260  12
1.239  11

=====

No. 3
Starting from a DFT-relaxed cell (GGA-PBE, OQMD), the X-ray diffraction stick pattern of RbEr2Cu3Se4S was computed for a wavelength of 1.5418 Å.

Structural model:
```
22
Lattice="2.0327 -7.2653 0.0000 2.0327 7.2653 0.0000 0.0000 0.0000 16.7926" Properties=species:S:1:pos:R:3 pbc="T T T"
Rb 2.0327 6.2908 12.5944
Rb 2.0327 -6.2908 4.1981
Er 2.0327 4.4720 1.6048
Er 2.0327 4.4720 6.7915
Er 2.0327 -4.4720 10.0011
Er 2.0327 -4.4720 15.1878
Cu 2.0327 2.3448 12.5944
Cu 2.0327 1.2334 0.4907
Cu 2.0327 1.2334 7.9056
Cu 2.0327 -1.2334 8.8870
Cu 2.0327 -1.2334 16.3019
Cu 2.0327 -2.3448 4.1981
Se 2.0327 4.8238 9.5996
Se 2.0327 4.8238 15.5892
Se 2.0327 0.8577 10.3757
Se 2.0327 0.8577 14.8132
Se 2.0327 -0.8577 1.9794
Se 2.0327 -0.8577 6.4169
Se 2.0327 -4.8238 1.2034
Se 2.0327 -4.8238 7.1929
S 2.0327 3.8194 4.1981
S 2.0327 -3.8194 12.5944
```

Principal peaks in the range 2θ from 15° to 90°, low angle first:
d [Å]  I/Imax
3.208  54
3.114  99
3.062  80
2.920  78
2.799  75
2.501  100
2.364  67
2.276  78
2.033  76
1.900  68

=====

No. 4
Starting from a DFT-relaxed cell (GGA-PBE, OQMD), the X-ray diffraction stick pattern of LaNiSb2Pd was computed for a wavelength of 1.5418 Å.

Structural model:
```
10
Lattice="4.5598 0.0000 0.0000 0.0000 4.5598 0.0000 0.0000 0.0000 10.5514" Properties=species:S:1:pos:R:3 pbc="T T T"
La 1.1400 1.1400 2.4146
La 3.4199 3.4199 8.1368
Ni 1.1400 3.4199 0.0000
Ni 3.4199 1.1400 0.0000
Sb 1.1400 1.1400 9.3504
Sb 1.1400 3.4199 5.2757
Sb 3.4199 1.1400 5.2757
Sb 3.4199 3.4199 1.2009
Pd 1.1400 1.1400 6.7238
Pd 3.4199 3.4199 3.8276
```

Principal peaks in the range 2θ from 15° to 90°, low angle first:
d [Å]  I/Imax
3.224  24
2.785  83
2.751  100
2.280  99
2.042  34
1.915  25
1.764  44
1.612  37
1.466  20
1.391  24

=====

No. 5
Starting from a DFT-relaxed cell (GGA-PBE, OQMD), the X-ray diffraction stick pattern of Pt15Pb was computed for a wavelength of 1.5418 Å.

Structural model:
```
32
Lattice="3.9505 0.0000 0.0000 0.0000 3.9501 0.0000 0.0000 0.0000 45.1152" Properties=species:S:1:pos:R:3 pbc="T T T"
Pt 0.9876 0.0000 0.9967
Pt 0.9876 0.0000 4.9637
Pt 0.9876 0.0000 8.9279
Pt 0.9876 0.0000 12.9058
Pt 0.9876 0.0000 30.2928
Pt 0.9876 0.0000 34.1907
Pt 0.9876 0.0000 38.1748
Pt 0.9876 0.0000 42.1307
Pt 0.9876 1.9750 2.9826
Pt 0.9876 1.9750 6.9473
Pt 0.9876 1.9750 10.8853
Pt 0.9876 1.9750 32.2086
Pt 0.9876 1.9750 36.1885
Pt 0.9876 1.9750 40.1502
Pt 0.9876 1.9750 44.1203
Pt 2.9629 0.0000 2.9846
Pt 2.9629 0.0000 6.9404
Pt 2.9629 0.0000 10.9245
Pt 2.9629 0.0000 14.8224
Pt 2.9629 0.0000 32.2095
Pt 2.9629 0.0000 36.1874
Pt 2.9629 0.0000 40.1515
Pt 2.9629 0.0000 44.1185
Pt 2.9629 1.9750 0.9949
Pt 2.9629 1.9750 4.9651
Pt 2.9629 1.9750 8.9267
Pt 2.9629 1.9750 12.9066
Pt 2.9629 1.9750 34.2300
Pt 2.9629 1.9750 38.1679
Pt 2.9629 1.9750 42.1326
Pb 0.9876 1.9750 15.5059
Pb 2.9629 1.9750 29.6093
```

Principal peaks in the range 2θ from 15° to 90°, low angle first:
d [Å]  I/Imax
2.309  100
2.242  47
1.975  48
1.961  14
1.423  12
1.396  16
1.392  18
1.199  11
1.195  26
1.185  13

=====

No. 6
Starting from a DFT-relaxed cell (GGA-PBE, OQMD), the X-ray diffraction stick pattern of RbGd2Cu3Se4S was computed for a wavelength of 1.5418 Å.

Structural model:
```
22
Lattice="2.0523 -7.2786 0.0000 2.0523 7.2786 0.0000 0.0000 0.0000 17.0428" Properties=species:S:1:pos:R:3 pbc="T T T"
Rb 2.0523 6.3005 12.7821
Rb 2.0523 -6.3005 4.2607
Gd 2.0523 4.4799 1.6218
Gd 2.0523 4.4799 6.8996
Gd 2.0523 -4.4799 10.1432
Gd 2.0523 -4.4799 15.4209
Cu 2.0523 2.3768 12.7821
Cu 2.0523 1.2435 0.4563
Cu 2.0523 1.2435 8.0651
Cu 2.0523 -1.2435 8.9776
Cu 2.0523 -1.2435 16.5865
Cu 2.0523 -2.3768 4.2607
Se 2.0523 4.8793 9.7448
Se 2.0523 4.8793 15.8193
Se 2.0523 0.8267 10.5353
Se 2.0523 0.8267 15.0288
Se 2.0523 -0.8267 2.0139
Se 2.0523 -0.8267 6.5075
Se 2.0523 -4.8793 1.2235
Se 2.0523 -4.8793 7.2979
S 2.0523 3.8278 4.2607
S 2.0523 -3.8278 12.7821
```

Principal peaks in the range 2θ from 15° to 90°, low angle first:
d [Å]  I/Imax
3.134  90
3.083  100
2.941  73
2.840  67
2.524  94
2.375  53
2.308  59
2.288  48
2.052  71
1.923  62

=====

No. 7
Starting from a DFT-relaxed cell (GGA-PBE, OQMD), the X-ray diffraction stick pattern of CdH10C8I2N6O2 was computed for a wavelength of 1.5418 Å.

Structural model:
```
58
Lattice="7.2382 0.0000 0.0000 0.3148 8.0845 0.0000 3.3702 0.0939 11.8774" Properties=species:S:1:pos:R:3 pbc="T T T"
Cd 1.8284 2.9873 2.9994
Cd 9.0948 5.1911 8.8780
H 2.1176 1.7498 7.1501
H 1.2969 6.3613 1.6038
H 4.5496 4.7737 10.2049
H 4.2687 0.3356 9.5138
H 5.4907 5.0835 11.6409
H 3.7544 5.7002 5.2115
H 4.9691 6.7035 7.6912
H 6.5035 8.1259 10.9478
H 5.2447 0.8941 7.0640
H 4.7488 2.6796 3.7621
H 6.1745 5.4988 8.1153
H 5.6785 7.2843 4.8134
H 4.4197 0.0525 0.9296
H 5.9541 1.4750 4.1862
H 7.1688 2.4783 6.6659
H 5.4326 3.0950 0.2365
H 6.6545 7.8428 2.3637
H 6.3737 3.4048 1.6725
H 9.6263 1.8171 10.2736
H 8.8057 6.4286 4.7273
C 3.6451 5.9876 11.6045
C 3.2787 1.6612 10.8775
C 1.6975 0.3144 4.2451
C 4.3010 0.8639 10.4644
C 2.1696 1.2291 0.5702
C 3.6159 6.7262 4.8751
C 4.0044 0.8387 4.2893
C 4.6456 7.5957 4.6885
C 6.2776 0.5828 7.1889
C 6.9188 7.3398 7.5881
C 7.3073 1.4522 7.0023
C 8.7536 6.9494 11.3073
C 6.6222 7.3145 1.4130
C 9.2257 7.8641 7.6323
C 7.6445 6.5172 0.9999
C 7.2782 2.1908 0.2729
I 3.7050 3.7135 7.3933
I 3.7257 4.7943 2.0553
I 7.1975 3.3841 9.8221
I 7.2182 4.4649 4.4841
N 2.3320 7.1229 4.6735
N 1.1580 2.0290 1.0138
N 4.6308 5.2343 11.1101
N 2.7135 1.2166 4.1262
N 5.3985 0.6826 11.2361
N 5.9526 6.4453 7.8052
N 4.9706 1.7331 4.0722
N 5.5247 7.4958 0.6413
N 8.2097 6.9618 7.7512
N 6.2924 2.9442 0.7674
N 9.7652 6.1494 10.8636
N 8.5912 1.0556 7.2039
O 3.1749 7.5606 7.8993
O 3.2105 1.0807 1.2589
O 7.7127 7.0977 10.6186
O 7.7483 0.6178 3.9781
```

Principal peaks in the range 2θ from 15° to 90°, low angle first:
d [Å]  I/Imax
4.356  37
3.932  61
3.572  100
3.498  45
3.273  95
3.206  28
3.157  29
2.826  31
2.592  30
2.169  29

=====

No. 8
Starting from a DFT-relaxed cell (GGA-PBE, OQMD), the X-ray diffraction stick pattern of CoNi12 was computed for a wavelength of 1.5418 Å.

Structural model:
```
13
Lattice="2.2912 1.3228 8.0139 -2.2912 1.3228 8.0139 0.0000 -2.6457 8.0139" Properties=species:S:1:pos:R:3 pbc="T T T"
Co 0.0000 0.0000 0.0000
Ni 0.0000 -1.3092 6.1135
Ni -1.1338 0.6546 6.1135
Ni 0.0000 0.0000 3.9726
Ni 0.0000 0.0000 8.3714
Ni -1.1338 -0.6546 17.9281
Ni 0.0000 0.0000 10.8786
Ni 0.0000 0.0000 13.1630
Ni 1.1338 0.6546 6.1135
Ni 0.0000 0.0000 15.6702
Ni 0.0000 0.0000 20.0690
Ni 1.1338 -0.6546 17.9281
Ni 0.0000 1.3092 17.9281
```

Principal peaks in the range 2θ from 15° to 90°, low angle first:
d [Å]  I/Imax
2.291  50
2.056  47
2.003  26
1.989  100
1.978  50
1.914  51
1.884  22
1.834  51
1.718  26
1.146  35

=====

No. 9
Starting from a DFT-relaxed cell (GGA-PBE, OQMD), the X-ray diffraction stick pattern of Li3HoEr2Pb3 was computed for a wavelength of 1.5418 Å.

Structural model:
```
9
Lattice="4.7727 0.0000 0.0000 -2.3864 4.1333 0.0000 0.0000 0.0000 10.7517" Properties=species:S:1:pos:R:3 pbc="T T T"
Li 0.0000 0.0000 0.0000
Li 0.0000 2.7555 3.3399
Li 0.0000 2.7555 7.4118
Ho 2.3864 1.3778 5.3759
Er 2.3864 1.3778 1.7691
Er 2.3864 1.3778 8.9826
Pb 0.0000 0.0000 3.5202
Pb 0.0000 0.0000 7.2315
Pb 0.0000 2.7555 0.0000
```

Principal peaks in the range 2θ from 15° to 90°, low angle first:
d [Å]  I/Imax
4.133  13
3.858  40
3.277  32
2.708  100
2.386  66
1.908  9
1.791  39
1.432  55
1.378  12
1.092  25

=====

No. 10
Starting from a DFT-relaxed cell (GGA-PBE, OQMD), the X-ray diffraction stick pattern of KCo3Sn5 was computed for a wavelength of 1.5418 Å.

Structural model:
```
9
Lattice="5.2464 0.0000 0.0000 -2.6232 4.5435 0.0000 0.0000 0.0000 8.7756" Properties=species:S:1:pos:R:3 pbc="T T T"
K 0.0000 0.0000 0.0000
Co -1.3116 2.2718 4.3878
Co 2.6232 0.0000 4.3878
Co 1.3116 2.2718 4.3878
Sn 0.0000 0.0000 4.3878
Sn 0.0000 3.0290 2.2298
Sn 0.0000 3.0290 6.5459
Sn 2.6232 1.5145 2.2298
Sn 2.6232 1.5145 6.5459
```

Principal peaks in the range 2θ from 15° to 90°, low angle first:
d [Å]  I/Imax
3.156  100
2.623  90
2.252  51
2.199  22
2.194  36
2.017  85
1.683  48
1.599  28
1.312  21
1.126  29

=====

No. 11
Starting from a DFT-relaxed cell (GGA-PBE, OQMD), the X-ray diffraction stick pattern of Y2Fe3B4Ir2 was computed for a wavelength of 1.5418 Å.

Structural model:
```
11
Lattice="0.0000 4.6676 5.6368 2.6614 0.0000 5.6368 2.6614 4.6676 0.0000" Properties=species:S:1:pos:R:3 pbc="T T T"
Y 2.6614 4.6676 1.5595
Y 2.6614 4.6676 9.7141
Fe 1.3307 2.3338 0.0000
Fe 1.3307 2.3338 5.6368
Fe 2.6614 4.6676 5.6368
B 2.6614 3.2125 4.2409
B 2.6614 3.2125 7.0327
B 2.6614 6.1227 4.2409
B 2.6614 6.1227 7.0327
Ir 1.3307 2.3338 2.8184
Ir 3.9921 7.0014 8.4552
```

Principal peaks in the range 2θ from 15° to 90°, low angle first:
d [Å]  I/Imax
5.637  44
4.668  41
3.595  51
2.916  30
2.412  95
2.334  50
2.312  100
1.935  45
1.788  27
1.490  33